For Sm8Ge3SeI4, DFT lattice parameters and positions (GGA-PBE) gives the calculated powder diffractogram in this record (Cu Kα).
Kinematic intensities with the Lorentz-polarization factor, no thermal factor.

Atomic structure:
```
Sm8Ge3SeI4
1.0
4.3007 2.4830 7.5607
-4.3007 2.4830 7.5607
0.0000 -4.9660 7.5607
Sm Ge Se I
8 3 1 4
direct
0.2260 0.7347 0.7347
0.2324 0.2324 0.2324
0.2653 0.2653 0.7740
0.2653 0.7740 0.2653
0.7347 0.2260 0.7347
0.7347 0.7347 0.2260
0.7676 0.7676 0.7676
0.7740 0.2653 0.2653
0.0000 0.0000 0.5000
0.0000 0.5000 0.0000
0.5000 0.0000 0.0000
0.5000 0.5000 0.5000
0.0000 0.0000 0.0000
0.0000 0.5000 0.5000
0.5000 0.0000 0.5000
0.5000 0.5000 0.0000
```

The 10 most intense peaks (15 to 90 degrees two-theta), in order of rising 2θ:
d (Å)	Position (°2θ)	Rel. int.
3.113	28.7	100.0
2.879	31.1	16.0
2.520	35.6	7.8
2.256	40.0	27.4
2.150	42.0	40.0
1.769	51.7	19.3
1.636	56.2	12.5
1.557	59.4	8.5
1.366	68.7	16.3
1.261	75.4	9.4